(1)
# P2SeS
Calculated powder diffractogram, λ = 1.5418 Å (Cu Kα). Input: DFT lattice parameters and positions (GGA-PBE).
Intensities are scaled so that the largest is 100.

Main lines, by angle (2θ = 15–90°):
Position (°2θ)	I (rel.)
17.9	17
27.3	11
30.5	100
32.8	13
38.9	45
50.2	45
56.0	29
56.2	14
78.7	12
83.4	19

Atomic structure:
Unit cell a=5.9853 b=5.9853 c=5.9853 alpha=113.73 beta=113.73 gamma=101.26
Element x y z (fractional)
P (0.1089, 0.6250, 0.9839)
P (0.3750, 0.3589, 0.4839)
P (0.6411, 0.1250, 0.0161)
P (0.8750, 0.8911, 0.5161)
Se (0.2500, 0.7500, 0.5000)
Se (0.5000, 0.5000, 0.0000)
S (0.0000, 0.0000, 0.0000)
S (0.7500, 0.2500, 0.5000)

(2)
# Sm8PSe4S3
Calculated powder diffractogram, λ = 1.5418 Å (Cu Kα). Input: DFT lattice parameters and positions (GGA-PBE).
Intensities are scaled so that the largest is 100.

Main lines, by angle (2θ = 15–90°):
Position (°2θ)	I (rel.)
26.2	9
26.7	29
30.8	100
43.8	34
44.4	37
55.0	19
64.1	11
72.3	13
73.2	16
81.3	11

Atomic structure:
Unit cell a=8.2730 b=8.2730 c=8.2730 alpha=59.15 beta=59.15 gamma=59.15
Element x y z (fractional)
Sm (0.2419, 0.2419, 0.2419)
Sm (0.2454, 0.7402, 0.7402)
Sm (0.2598, 0.2598, 0.7546)
Sm (0.2598, 0.7546, 0.2598)
Sm (0.7402, 0.2454, 0.7402)
Sm (0.7402, 0.7402, 0.2454)
Sm (0.7546, 0.2598, 0.2598)
Sm (0.7581, 0.7581, 0.7581)
P (0.5000, 0.5000, 0.5000)
Se (0.0000, 0.0000, 0.0000)
Se (0.0000, 0.5000, 0.5000)
Se (0.5000, 0.0000, 0.5000)
Se (0.5000, 0.5000, 0.0000)
S (0.0000, 0.0000, 0.5000)
S (0.0000, 0.5000, 0.0000)
S (0.5000, 0.0000, 0.0000)

(3)
# Th4PSeS2
Calculated powder diffractogram, λ = 1.5418 Å (Cu Kα). Input: DFT lattice parameters and positions (GGA-PBE).
Intensities are scaled so that the largest is 100.

Main lines, by angle (2θ = 15–90°):
Position (°2θ)	I (rel.)
26.4	43
26.6	21
26.8	21
30.8	100
43.7	13
43.9	25
44.3	25
44.4	12
54.4	14
64.1	12

Atomic structure:
Unit cell a=7.0638 b=4.1418 c=7.1303 alpha=90.00 beta=109.82 gamma=90.00
Element x y z (fractional)
Th (0.2392, 0.0000, 0.2373)
Th (0.2463, 0.5000, 0.7578)
Th (0.7537, 0.5000, 0.2422)
Th (0.7608, 0.0000, 0.7627)
P (0.5000, 0.0000, 0.0000)
Se (0.5000, 0.5000, 0.5000)
S (0.0000, 0.0000, 0.5000)
S (0.0000, 0.5000, 0.0000)

(4)
# U4P2SeS
Calculated powder diffractogram, λ = 1.5418 Å (Cu Kα). Input: DFT lattice parameters and positions (GGA-PBE).
Intensities are scaled so that the largest is 100.

Main lines, by angle (2θ = 15–90°):
Position (°2θ)	I (rel.)
27.5	67
28.3	21
32.1	100
45.5	38
46.5	36
54.4	22
56.7	20
75.5	22
77.1	17
84.8	14

Atomic structure:
Unit cell a=6.7151 b=3.9884 c=6.9136 alpha=90.00 beta=110.06 gamma=90.00
Element x y z (fractional)
U (0.2394, 0.0000, 0.2394)
U (0.2452, 0.5000, 0.7554)
U (0.7548, 0.5000, 0.2446)
U (0.7606, 0.0000, 0.7606)
P (0.0000, 0.0000, 0.5000)
P (0.0000, 0.5000, 0.0000)
Se (0.5000, 0.5000, 0.5000)
S (0.5000, 0.0000, 0.0000)

(5)
# Y6PSe3S2
Calculated powder diffractogram, λ = 1.5418 Å (Cu Kα). Input: DFT lattice parameters and positions (GGA-PBE).
Intensities are scaled so that the largest is 100.

Main lines, by angle (2θ = 15–90°):
Position (°2θ)	I (rel.)
27.3	8
31.4	100
34.3	8
44.7	34
45.4	36
56.2	18
65.6	10
74.0	13
75.1	15
83.4	11

Atomic structure:
Unit cell a=6.9224 b=6.9224 c=7.0571 alpha=99.39 beta=99.39 gamma=120.01
Element x y z (fractional)
Y (0.0752, 0.4034, 0.2253)
Y (0.2533, 0.2533, 0.7746)
Y (0.4034, 0.0752, 0.2253)
Y (0.5966, 0.9248, 0.7747)
Y (0.7467, 0.7467, 0.2254)
Y (0.9248, 0.5966, 0.7747)
P (0.0000, 0.0000, 0.0000)
Se (0.1677, 0.8323, 0.5000)
Se (0.5000, 0.5000, 0.5000)
Se (0.8323, 0.1677, 0.5000)
S (0.3334, 0.6666, 0.0000)
S (0.6666, 0.3334, 0.0000)

(6)
# SiPS4
Calculated powder diffractogram, λ = 1.5418 Å (Cu Kα). Input: DFT lattice parameters and positions (GGA-PBE).
Intensities are scaled so that the largest is 100.

Main lines, by angle (2θ = 15–90°):
Position (°2θ)	I (rel.)
17.2	18
19.8	100
28.5	11
34.9	11
40.2	13
40.7	25
45.6	34
58.5	16
62.7	12
73.7	8

Atomic structure:
Unit cell a=6.2744 b=6.2744 c=8.9791 alpha=90.00 beta=90.00 gamma=90.00
Element x y z (fractional)
Si (0.0000, 0.0000, 0.0000)
Si (0.0000, 0.0000, 0.5000)
P (0.0000, 0.5000, 0.0000)
P (0.5000, 0.0000, 0.5000)
S (0.2422, 0.2505, 0.0000)
S (0.2422, 0.7495, 0.0000)
S (0.2505, 0.2422, 0.5000)
S (0.2505, 0.7578, 0.5000)
S (0.7495, 0.2422, 0.5000)
S (0.7495, 0.7578, 0.5000)
S (0.7578, 0.2505, 0.0000)
S (0.7578, 0.7495, 0.0000)